No. 1
Simulated X-ray diffraction stick pattern
Compound: PrTh2RhN4
Radiation: CuKα
Structure: DFT lattice parameters and positions (PBE)

Crystal structure
```
PrTh2RhN4
1.0
1.759 -6.089 0.000
1.759 6.089 0.000
0.000 0.000 12.083
Pr Th Rh N
2 4 2 8
Direct
0.111 0.889 0.750
0.889 0.111 0.250
0.370 0.630 0.556
0.370 0.630 0.944
0.630 0.370 0.056
0.630 0.370 0.444
0.150 0.850 0.250
0.850 0.150 0.750
0.000 0.000 0.000
0.000 0.000 0.500
0.274 0.726 0.118
0.274 0.726 0.382
0.457 0.543 0.750
0.543 0.457 0.250
0.726 0.274 0.618
0.726 0.274 0.882
```

Main lines, by angle (5 to 70 degrees two-theta):
d_spacing  I (rel.)
3.359  80
3.045  70
2.950  100
2.589  31
2.433  86
2.246  27
1.793  26
1.523  27


No. 2
Simulated X-ray diffraction stick pattern
Compound: LiSmSc
Radiation: CuKα
Structure: DFT lattice parameters and positions (PBE)

Crystal structure
```
LiSmSc
1.0
3.594 0.000 0.000
0.000 3.594 0.000
0.000 0.000 11.810
Li Sm Sc
2 2 2
Direct
0.000 0.000 0.000
0.500 0.500 0.500
0.000 0.000 0.329
0.500 0.500 0.829
0.000 0.000 0.637
0.500 0.500 0.137
```

Main lines, by angle (5 to 70 degrees two-theta):
d_spacing  I (rel.)
5.905  61
3.439  96
2.953  22
2.654  100
2.542  46
2.335  25
1.926  25
1.488  33


No. 3
Simulated X-ray diffraction stick pattern
Compound: DyNi8Ge2
Radiation: CuKα
Structure: DFT lattice parameters and positions (PBE)

Crystal structure
```
DyNi8Ge2
1.0
5.751 0.000 0.000
0.000 5.751 0.000
0.000 0.000 4.922
Dy Ni Ge
1 8 2
Direct
0.000 0.000 0.000
0.294 0.294 0.245
0.294 0.294 0.755
0.294 0.706 0.245
0.294 0.706 0.755
0.706 0.294 0.245
0.706 0.294 0.755
0.706 0.706 0.245
0.706 0.706 0.755
0.000 0.500 0.500
0.500 0.000 0.500
```

Main lines, by angle (5 to 70 degrees two-theta):
d_spacing  I (rel.)
3.739  30
3.135  77
2.572  37
2.262  29
2.033  55
1.917  29
1.870  100
1.706  25


No. 4
Simulated X-ray diffraction stick pattern
Compound: Ca4SnPd4
Radiation: CuKα
Structure: DFT lattice parameters and positions (PBE)

Crystal structure
```
Ca4SnPd4
1.0
-4.526 4.526 2.900
4.526 -4.526 2.900
4.526 4.526 -2.900
Ca Sn Pd
4 1 4
Direct
0.093 0.703 0.796
0.297 0.093 0.390
0.703 0.907 0.610
0.907 0.297 0.204
0.500 0.500 0.000
0.224 0.409 0.632
0.409 0.776 0.185
0.591 0.224 0.815
0.776 0.591 0.368
```

Main lines, by angle (5 to 70 degrees two-theta):
d_spacing  I (rel.)
4.883  72
3.320  20
2.900  53
2.863  100
2.053  20
2.037  73
2.024  33
1.660  34


No. 5
Simulated X-ray diffraction stick pattern
Compound: AcPr2Al2In2
Radiation: CuKα
Structure: DFT lattice parameters and positions (PBE)

Crystal structure
```
AcPr2Al2In2
1.0
2.376 1.372 10.410
-2.376 1.372 10.410
0.000 -2.743 10.410
Ac Pr Al In
1 2 2 2
Direct
0.000 0.000 0.000
0.132 0.132 0.132
0.868 0.868 0.868
0.406 0.406 0.406
0.594 0.594 0.594
0.257 0.257 0.257
0.743 0.743 0.743
```

Main lines, by angle (5 to 70 degrees two-theta):
d_spacing  I (rel.)
4.080  63
3.025  79
2.832  100
2.376  77
1.868  20
1.820  27
1.566  32
1.445  26


No. 6
Simulated X-ray diffraction stick pattern
Compound: HoPb3F8
Radiation: CuKα
Structure: DFT lattice parameters and positions (PBE)

Crystal structure
```
HoPb3F8
1.0
5.914 0.000 0.000
0.000 5.914 0.000
0.000 0.000 5.914
Ho Pb F
1 3 8
Direct
0.000 0.000 0.000
0.000 0.500 0.500
0.500 0.000 0.500
0.500 0.500 0.000
0.224 0.224 0.224
0.224 0.224 0.776
0.224 0.776 0.224
0.224 0.776 0.776
0.776 0.224 0.224
0.776 0.224 0.776
0.776 0.776 0.224
0.776 0.776 0.776
```

Main lines, by angle (5 to 70 degrees two-theta):
d_spacing  I (rel.)
3.415  100
2.957  33
2.645  1
2.091  55
1.783  49
1.707  10
1.479  9
1.357  21


No. 7
Simulated X-ray diffraction stick pattern
Compound: Tb3Ho3In2
Radiation: CuKα
Structure: DFT lattice parameters and positions (PBE)

Crystal structure
```
Tb3Ho3In2
1.0
2.583 -5.887 0.000
2.583 5.887 0.000
0.000 0.000 15.816
Tb Ho In
6 6 4
Direct
0.040 0.960 0.604
0.040 0.960 0.896
0.256 0.744 0.750
0.744 0.256 0.250
0.960 0.040 0.104
0.960 0.040 0.396
0.358 0.642 0.533
0.358 0.642 0.967
0.463 0.537 0.250
0.537 0.463 0.750
0.642 0.358 0.033
0.642 0.358 0.467
0.229 0.771 0.141
0.229 0.771 0.359
0.771 0.229 0.641
0.771 0.229 0.859
```

Main lines, by angle (5 to 70 degrees two-theta):
d_spacing  I (rel.)
3.034  100
2.906  51
2.894  24
2.759  29
2.688  85
2.630  62
2.583  65
1.885  24


No. 8
Simulated X-ray diffraction stick pattern
Compound: Dy4ErSc4
Radiation: CuKα
Structure: DFT lattice parameters and positions (PBE)

Crystal structure
```
Dy4ErSc4
1.0
-5.121 5.121 2.411
5.121 -5.121 2.411
5.121 5.121 -2.411
Dy Er Sc
4 1 4
Direct
0.000 0.329 0.329
0.000 0.671 0.671
0.329 0.000 0.329
0.671 0.000 0.671
0.000 0.000 0.000
0.334 0.334 0.668
0.334 0.666 0.000
0.666 0.334 0.000
0.666 0.666 0.332
```

Main lines, by angle (5 to 70 degrees two-theta):
d_spacing  I (rel.)
5.121  11
4.363  18
3.239  9
2.786  100
2.413  50
1.706  34
1.455  40
1.393  11


No. 9
Simulated X-ray diffraction stick pattern
Compound: Na8B13C3
Radiation: CuKα
Structure: DFT lattice parameters and positions (PBE)

Crystal structure
```
Na8B13C3
1.0
2.871 -8.675 0.000
2.871 8.675 0.000
0.000 0.000 5.217
Na B C
8 13 3
Direct
0.123 0.877 0.000
0.124 0.374 0.496
0.374 0.124 0.496
0.376 0.624 0.001
0.624 0.376 0.001
0.626 0.876 0.496
0.876 0.626 0.496
0.877 0.123 0.000
0.000 0.000 0.330
0.000 0.000 0.653
0.000 0.500 0.865
0.250 0.750 0.321
0.250 0.750 0.650
0.252 0.252 0.846
0.263 0.263 0.173
0.500 0.000 0.865
0.500 0.500 0.635
0.737 0.737 0.173
0.748 0.748 0.846
0.750 0.250 0.321
0.750 0.250 0.650
0.000 0.500 0.162
0.500 0.000 0.162
0.500 0.500 0.335
```

Main lines, by angle (5 to 70 degrees two-theta):
d_spacing  I (rel.)
2.608  12
2.515  17
2.235  48
2.176  100
2.169  37
1.642  10
1.487  18
1.435  8


No. 10
Simulated X-ray diffraction stick pattern
Compound: Tb3Sm2YEr6
Radiation: CuKα
Structure: DFT lattice parameters and positions (PBE)

Crystal structure
```
Tb3Sm2YEr6
1.0
3.073 -5.318 0.000
3.073 5.318 0.000
-2.039 0.000 11.548
Tb Sm Y Er
3 2 1 6
Direct
0.000 0.000 0.000
0.333 0.667 0.000
0.667 0.333 0.000
0.167 0.833 0.500
0.833 0.167 0.500
0.500 0.500 0.500
0.082 0.416 0.249
0.251 0.251 0.752
0.416 0.082 0.249
0.584 0.918 0.751
0.749 0.749 0.248
0.918 0.584 0.751
```

Main lines, by angle (5 to 70 degrees two-theta):
d_spacing  I (rel.)
2.896  34
2.892  100
2.506  67
1.774  24
1.770  24
1.512  24
1.511  24
1.448  12


No. 11
Simulated X-ray diffraction stick pattern
Compound: BaHg2HPd2
Radiation: CuKα
Structure: DFT lattice parameters and positions (PBE)

Crystal structure
```
BaHg2HPd2
1.0
4.602 0.000 0.000
0.000 4.602 0.000
0.000 0.000 12.997
Ba Hg H Pd
2 4 2 4
Direct
0.000 0.000 0.000
0.500 0.500 0.500
0.000 0.500 0.250
0.000 0.500 0.750
0.500 0.000 0.250
0.500 0.000 0.750
0.000 0.000 0.500
0.500 0.500 0.000
0.000 0.000 0.372
0.000 0.000 0.628
0.500 0.500 0.128
0.500 0.500 0.872
```

Main lines, by angle (5 to 70 degrees two-theta):
d_spacing  I (rel.)
6.498  44
3.155  39
2.910  100
2.300  98
1.859  17
1.803  29
1.627  18
1.420  23


No. 12
Simulated X-ray diffraction stick pattern
Compound: TbGe12Pt4
Radiation: CuKα
Structure: DFT lattice parameters and positions (PBE)

Crystal structure
```
TbGe12Pt4
1.0
-4.354 4.354 4.354
4.354 -4.354 4.354
4.354 4.354 -4.354
Tb Ge Pt
1 12 4
Direct
0.000 0.000 0.000
0.150 0.353 0.503
0.150 0.647 0.796
0.204 0.850 0.353
0.353 0.204 0.850
0.353 0.503 0.150
0.497 0.850 0.647
0.503 0.150 0.353
0.647 0.497 0.850
0.647 0.796 0.150
0.796 0.150 0.647
0.850 0.353 0.204
0.850 0.647 0.497
0.000 0.000 0.500
0.000 0.500 0.000
0.500 0.000 0.000
0.500 0.500 0.500
```

Main lines, by angle (5 to 70 degrees two-theta):
d_spacing  I (rel.)
4.354  45
3.079  100
2.754  81
2.327  38
1.947  70
1.778  83
1.708  35
1.377  30


No. 13
Simulated X-ray diffraction stick pattern
Compound: GdCdF2
Radiation: CuKα
Structure: DFT lattice parameters and positions (PBE)

Crystal structure
```
GdCdF2
1.0
3.496 0.000 0.000
-1.748 3.027 0.000
0.000 0.000 25.841
Gd Cd F
3 3 6
Direct
0.000 0.000 0.000
0.333 0.667 0.667
0.667 0.333 0.333
0.000 0.000 0.500
0.333 0.667 0.167
0.667 0.333 0.833
0.000 0.000 0.082
0.000 0.000 0.918
0.333 0.667 0.585
0.333 0.667 0.749
0.667 0.333 0.251
0.667 0.333 0.415
```

Main lines, by angle (5 to 70 degrees two-theta):
d_spacing  I (rel.)
4.307  53
2.948  100
2.741  61
2.209  32
1.965  30
1.748  23
1.620  22
1.357  19